For Li4CrF6, a crystal structure in the Materials Project, relaxed with PBE+U gives the simulated X-ray powder pattern in this record (Cu Kα (weighted mean of Kα1 and Kα2)).

Top 10 peaks for 2θ = 15–90°, by intensity:
2θ (°)  intensity
37.92  100
25.39  97
20.27  91
39.41  81
52.15  77
31.32  66
20.71  47
19.81  47
32.49  42
40.66  40

Structure:
```
Li4CrF6
1.0
4.969 0.000 0.000
0.000 4.960 0.000
-4.475 0.000 9.339
Li Cr F
8 2 12
direct
0.130 0.015 0.141
0.130 0.485 0.641
0.254 0.515 0.251
0.254 0.985 0.751
0.746 0.015 0.249
0.746 0.485 0.749
0.870 0.515 0.359
0.870 0.985 0.859
0.500 0.000 0.500
0.500 0.500 0.000
0.097 0.223 0.312
0.097 0.277 0.812
0.216 0.707 0.506
0.216 0.793 0.006
0.463 0.198 0.670
0.463 0.302 0.170
0.537 0.698 0.830
0.537 0.802 0.330
0.784 0.207 0.994
0.784 0.293 0.494
0.903 0.723 0.188
0.903 0.777 0.688
```

For Li3CrF6, a crystal structure in the Materials Project, relaxed with PBE+U gives the simulated X-ray powder pattern in this record (Cu Kα (weighted mean of Kα1 and Kα2)).

Top 10 peaks for 2θ = 15–90°, by intensity:
2θ (°)  intensity
20.87  100
20.63  68
40.79  43
22.06  39
20.26  38
28.88  35
30.13  32
39.39  29
48.49  24
41.49  23

Structure:
```
Li3CrF6
1.0
7.330 -4.383 0.000
7.330 4.383 0.000
-0.842 0.000 10.200
Li Cr F
18 6 36
direct
0.007 0.713 0.230
0.060 0.344 0.432
0.124 0.541 0.948
0.188 0.812 0.750
0.287 0.993 0.270
0.326 0.628 0.462
0.344 0.060 0.932
0.372 0.674 0.038
0.459 0.876 0.552
0.541 0.124 0.448
0.628 0.326 0.962
0.656 0.940 0.068
0.674 0.372 0.538
0.713 0.007 0.730
0.812 0.188 0.250
0.876 0.459 0.052
0.940 0.656 0.568
0.993 0.287 0.770
0.000 0.000 0.000
0.000 0.000 0.500
0.334 0.339 0.704
0.339 0.334 0.204
0.661 0.666 0.796
0.666 0.661 0.296
0.066 0.078 0.167
0.078 0.066 0.667
0.086 0.760 0.062
0.093 0.761 0.566
0.106 0.417 0.606
0.108 0.430 0.110
0.227 0.268 0.837
0.239 0.907 0.934
0.240 0.914 0.438
0.241 0.558 0.305
0.244 0.567 0.802
0.268 0.227 0.337
0.412 0.431 0.066
0.417 0.106 0.106
0.430 0.108 0.610
0.431 0.412 0.566
0.433 0.756 0.698
0.442 0.759 0.195
0.558 0.241 0.805
0.567 0.244 0.302
0.569 0.588 0.434
0.570 0.892 0.390
0.583 0.894 0.894
0.588 0.569 0.934
0.732 0.773 0.663
0.756 0.433 0.198
0.759 0.442 0.695
0.760 0.086 0.562
0.761 0.093 0.066
0.773 0.732 0.163
0.892 0.570 0.890
0.894 0.583 0.394
0.907 0.239 0.434
0.914 0.240 0.938
0.922 0.934 0.333
0.934 0.922 0.833
```

For Li3CrF6, a crystal structure in the Materials Project, relaxed with PBE+U gives the simulated X-ray powder pattern in this record (Cu Kα (weighted mean of Kα1 and Kα2)).

Top 10 peaks for 2θ = 15–90°, by intensity:
2θ (°)  intensity
23.03  100
19.91  62
47.06  54
53.02  31
38.66  28
68.75  27
40.45  16
73.58  12
51.58  10
62.48  9

Structure:
```
Li3CrF6
1.0
0.000 3.862 3.862
3.862 0.000 3.862
3.862 3.862 0.000
Li Cr F
3 1 6
direct
0.000 0.000 0.000
0.250 0.250 0.250
0.750 0.750 0.750
0.500 0.500 0.500
0.253 0.253 0.747
0.253 0.747 0.253
0.253 0.747 0.747
0.747 0.253 0.253
0.747 0.253 0.747
0.747 0.747 0.253
```

For Li3CrF6, a crystal structure in the Materials Project, relaxed with PBE+U gives the simulated X-ray powder pattern in this record (Cu Kα (weighted mean of Kα1 and Kα2)).

Top 10 peaks for 2θ = 15–90°, by intensity:
2θ (°)  intensity
20.92  100
40.30  60
26.06  48
52.37  29
33.07  28
20.00  23
53.60  21
41.77  20
43.05  18
65.96  17

Structure:
```
Li3CrF6
1.0
4.835 0.000 0.000
0.000 4.837 0.000
-4.810 0.000 8.878
Li Cr F
6 2 12
direct
0.000 0.241 0.000
0.000 0.759 0.500
0.300 0.253 0.301
0.300 0.747 0.801
0.403 0.247 0.902
0.403 0.753 0.402
0.652 0.252 0.651
0.652 0.748 0.151
0.015 0.068 0.812
0.015 0.932 0.312
0.308 0.453 0.489
0.308 0.547 0.989
0.368 0.034 0.151
0.368 0.966 0.651
0.611 0.431 0.813
0.611 0.569 0.313
0.673 0.052 0.488
0.673 0.948 0.988
0.935 0.463 0.150
0.935 0.537 0.650
```

For Li2CrF6, a crystal structure in the Materials Project, relaxed with PBE+U gives the simulated X-ray powder pattern in this record (Cu Kα (weighted mean of Kα1 and Kα2)).

Top 10 peaks for 2θ = 15–90°, by intensity:
2θ (°)  intensity
21.39  100
40.49  55
26.96  48
19.64  36
53.31  35
33.57  20
67.66  19
55.57  17
43.25  16
44.46  15

Structure:
```
Li2CrF6
1.0
4.677 0.000 0.000
0.000 4.677 0.000
0.000 0.000 9.041
Li Cr F
4 2 12
direct
0.000 0.000 0.165
0.000 0.000 0.835
0.500 0.500 0.335
0.500 0.500 0.665
0.000 0.000 0.500
0.500 0.500 0.000
0.192 0.192 0.348
0.192 0.192 0.652
0.220 0.220 0.000
0.280 0.720 0.500
0.308 0.692 0.152
0.308 0.692 0.848
0.692 0.308 0.152
0.692 0.308 0.848
0.720 0.280 0.500
0.780 0.780 0.000
0.808 0.808 0.348
0.808 0.808 0.652
```

For NaLi2CrF6, a crystal structure in the Materials Project, relaxed with PBE+U gives the simulated X-ray powder pattern in this record (Cu Kα (weighted mean of Kα1 and Kα2)).

Top 10 peaks for 2θ = 15–90°, by intensity:
2θ (°)  intensity
21.86  100
44.57  46
50.17  33
18.90  27
64.86  23
31.10  16
69.33  13
82.10  7
55.34  6
86.25  6

Structure:
```
NaLi2CrF6
1.0
0.000 4.066 4.066
4.066 0.000 4.066
4.066 4.066 0.000
Na Li Cr F
1 2 1 6
direct
0.000 0.000 0.000
0.250 0.250 0.250
0.750 0.750 0.750
0.500 0.500 0.500
0.265 0.265 0.735
0.265 0.735 0.265
0.265 0.735 0.735
0.735 0.265 0.265
0.735 0.265 0.735
0.735 0.735 0.265
```

For Na2LiCrF6, a crystal structure in the Materials Project, relaxed with PBE+U gives the simulated X-ray powder pattern in this record (Cu Kα (weighted mean of Kα1 and Kα2)).

Top 10 peaks for 2θ = 15–90°, by intensity:
2θ (°)  intensity
46.42  100
19.65  81
32.36  56
67.75  51
39.91  50
22.73  41
38.15  34
57.72  21
86.10  15
52.29  12

Structure:
```
Na2LiCrF6
1.0
0.000 3.912 3.912
3.912 0.000 3.912
3.912 3.912 0.000
Na Li Cr F
2 1 1 6
direct
0.250 0.250 0.250
0.750 0.750 0.750
0.000 0.000 0.000
0.500 0.500 0.500
0.255 0.255 0.745
0.255 0.745 0.255
0.255 0.745 0.745
0.745 0.255 0.255
0.745 0.255 0.745
0.745 0.745 0.255
```

For LiCr6O4F4, a crystal structure in the Materials Project, relaxed with PBE+U gives the simulated X-ray powder pattern in this record (Cu Kα (weighted mean of Kα1 and Kα2)).

Top 10 peaks for 2θ = 15–90°, by intensity:
2θ (°)  intensity
32.06  100
21.21  77
16.09  73
32.09  49
38.82  48
37.55  47
32.52  42
40.61  40
51.50  30
39.27  19

Structure:
```
LiCr6O4F4
1.0
5.727 0.000 0.000
1.621 5.515 0.000
0.104 0.339 6.476
Li Cr O F
1 6 4 4
direct
0.000 0.000 0.000
0.086 0.044 0.397
0.310 0.537 0.496
0.352 0.536 0.000
0.544 0.030 0.845
0.817 0.520 0.752
0.847 0.558 0.248
0.035 0.375 0.508
0.121 0.735 0.232
0.525 0.376 0.740
0.628 0.694 0.998
0.030 0.776 0.770
0.136 0.283 0.003
0.429 0.851 0.503
0.767 0.214 0.241
```